[1]
The following is a theoretical X-ray diffraction stick pattern of NdMg20Ni2. It was derived from the GGA-PBE geometry in the Materials Project, using Cu Kα X-rays.

Cell and atoms:
Unit cell a=15.8461 b=15.8461 c=15.8461 alpha=90.00 beta=90.00 gamma=90.00
Space group Fd-3m (No. 227, origin choice 2)
One atom of each set of equivalent atoms:
Nd  0.1250  0.1250  0.1250 x8
Mg  0.0000  0.0000  0.0000 x16
Mg  0.0071  0.3750  0.8750 x48
Mg  0.0586  0.0586  0.3288 x96
Ni  0.0000  0.0000  0.5000 x16

Largest 10 diffraction maxima, in order of rising 2θ, 5 to 70 degrees two-theta:
two_theta  intensity
15.8  55
18.6  100
31.9  54
33.5  80
35.8  58
37.2  97
37.7  79
43.9  31
48.8  47
66.8  42

[2]
The following is a theoretical X-ray diffraction stick pattern of ScFe10Si2. It was derived from the GGA-PBE geometry in the Materials Project, using Cu Kα X-rays.

Cell and atoms:
```
data_ScFe10Si2
_cell_length_a 4.7262
_cell_length_b 8.1905
_cell_length_c 8.2616
_cell_angle_alpha 90.00
_cell_angle_beta 90.00
_cell_angle_gamma 90.00
_symmetry_space_group_name_H-M 'I m m m'
_symmetry_Int_Tables_number 71
_symmetry_space_group_name_Hall '-I 2 2'
loop_
_atom_site_label
_atom_site_type_symbol
_atom_site_fract_x
_atom_site_fract_y
_atom_site_fract_z
_atom_site_occupancy
Sc1 Sc 0.0000 0.0000 0.0000 1
Fe1 Fe 0.0000 0.0000 0.3602 1
Fe2 Fe 0.0000 0.3012 0.5000 1
Fe3 Fe 0.0000 0.3502 0.0000 1
Fe4 Fe 0.2500 0.2500 0.2500 1
Si1 Si 0.0000 0.5000 0.2672 1
```

Largest 10 diffraction maxima, in order of rising 2θ, 5 to 70 degrees two-theta:
two_theta  intensity
15.2  11
21.7  19
37.8  10
38.1  44
43.8  25
44.0  23
44.2  100
44.3  24
49.4  40
49.7  77